[1]
This entry pairs a crystal structure of NaSi4O8 with its simulated XRD peak list. Radiation: CuKα. Structure: a structure optimized by DFT (PBE).
Neutral-atom scattering factors, no anomalous dispersion.

Atomic structure:
```
13
Lattice="5.3502 0.0000 0.0000 -2.6751 4.6334 0.0000 0.0000 0.0000 8.1747" Properties=species:S:1:pos:R:3 pbc="T T T"
Na 0.0000 0.0000 0.0000
Si 0.0000 3.0890 1.6452
Si 0.0000 3.0890 6.5294
Si 2.6751 1.5445 1.6452
Si 2.6751 1.5445 6.5294
O -1.3376 2.3167 2.1878
O -1.3376 2.3167 5.9868
O 0.0000 3.0890 0.0000
O 2.6751 0.0000 2.1878
O 2.6751 0.0000 5.9868
O 1.3376 2.3167 2.1878
O 1.3376 2.3167 5.9868
O 2.6751 1.5445 0.0000
```

The 10 most intense peaks (2θ = 10–90°), by angle:
- 10.82 deg, I = 100
- 19.15 deg, I = 89
- 21.74 deg, I = 54
- 29.13 deg, I = 59
- 33.50 deg, I = 50
- 35.30 deg, I = 41
- 44.32 deg, I = 12
- 57.23 deg, I = 15
- 67.09 deg, I = 20
- 70.39 deg, I = 16

***

[2]
This entry pairs a crystal structure of Na2Si2O5 with its simulated XRD peak list. Radiation: CuKα. Structure: a structure optimized by DFT (PBE).
Neutral-atom scattering factors, no anomalous dispersion.

Atomic structure:
```
36
Lattice="-6.1723 6.1723 3.7640 6.1723 -6.1723 3.7640 6.1723 6.1723 -3.7640" Properties=species:S:1:pos:R:3 pbc="T T T"
Na 7.4235 4.0912 -2.1155
Na 7.4235 -2.0811 2.1155
Na 7.1773 1.8349 0.2335
Na 5.1672 4.3374 0.2335
Na 1.0051 1.8349 3.5305
Na -1.0051 4.3374 3.5305
Na -1.2512 8.2534 1.6485
Na -1.2512 2.0811 5.8795
Si 10.9478 -0.5609 0.6442
Si 3.6470 1.6894 1.2378
Si 4.7755 -0.5609 3.1198
Si 3.6470 7.8616 -1.2378
Si 2.5253 -1.6894 5.0018
Si 1.3968 6.7331 0.6442
Si 2.5253 4.4829 2.5262
Si -4.7755 6.7331 3.1198
O 0.0000 0.0000 0.0000
O 5.0206 4.4280 -2.0733
O 5.0206 -1.7442 2.0733
O 2.2859 0.9525 0.6802
O 4.8304 1.9344 0.1913
O 10.2110 0.8003 1.2018
O 7.5142 4.2378 0.1913
O 4.0387 0.8003 2.5622
O 2.2859 7.1248 -0.6802
O -3.0861 3.0861 1.8820
O 0.0000 6.1723 0.0000
O 3.0861 3.0861 1.8820
O 3.8864 -0.9525 4.4442
O 2.1336 5.3720 1.2018
O -1.3419 1.9344 3.5727
O -4.0387 5.3720 2.5622
O 1.3419 4.2378 3.5727
O 3.8864 5.2197 3.0838
O 1.1517 7.9165 1.6907
O 1.1517 1.7442 5.8373
```

The 10 most intense peaks (2θ = 10–90°), by angle:
- 19.94 deg, I = 100
- 25.78 deg, I = 7
- 27.76 deg, I = 9
- 28.64 deg, I = 9
- 28.93 deg, I = 17
- 32.18 deg, I = 22
- 32.44 deg, I = 11
- 33.06 deg, I = 16
- 51.10 deg, I = 8
- 51.96 deg, I = 10

***

[3]
This entry pairs a crystal structure of NaSmSiO4 with its simulated XRD peak list. Radiation: CuKα. Structure: a structure optimized by DFT (PBE).
Neutral-atom scattering factors, no anomalous dispersion.

Atomic structure:
```
28
Lattice="-5.9637 5.9637 2.6927 5.9637 -5.9637 2.6927 5.9637 5.9637 -2.6927" Properties=species:S:1:pos:R:3 pbc="T T T"
Na 7.2391 1.0370 0.0000
Na 1.0370 4.6884 0.0000
Na 4.9267 1.2754 2.6927
Na -1.2754 4.9267 2.6927
Sm 2.2820 1.4526 0.0000
Sm 4.5111 -3.6817 2.6927
Sm 1.4526 9.6454 0.0000
Sm 3.6817 4.5111 2.6927
Si 4.7956 3.1196 0.0000
Si 2.8441 -1.1681 2.6927
Si 3.1196 7.1319 0.0000
Si 1.1681 2.8441 2.6927
O 5.4857 3.6509 -1.3820
O 4.7327 1.4531 0.0000
O 2.3129 -0.4780 1.3107
O 8.2862 3.2176 0.0000
O 3.6509 6.4418 -1.3820
O 3.2176 3.6413 0.0000
O 4.5107 -1.2310 2.6927
O 0.4780 2.3129 1.3107
O 5.4857 3.6509 1.3820
O 1.4531 7.1948 0.0000
O 2.7461 2.3225 2.6927
O 2.3129 -0.4780 4.0748
O -2.3225 2.7461 2.6927
O 3.6509 6.4418 1.3820
O 1.2310 4.5107 2.6927
O 0.4780 2.3129 4.0748
```

The 10 most intense peaks (2θ = 10–90°), by angle:
- 14.85 deg, I = 69
- 18.07 deg, I = 84
- 23.47 deg, I = 52
- 23.59 deg, I = 69
- 27.89 deg, I = 67
- 31.76 deg, I = 100
- 33.27 deg, I = 47
- 35.22 deg, I = 45
- 48.01 deg, I = 42
- 49.47 deg, I = 52

***

[4]
This entry pairs a crystal structure of Na3Sm3SiO8 with its simulated XRD peak list. Radiation: CuKα. Structure: a structure optimized by DFT (PBE).
Neutral-atom scattering factors, no anomalous dispersion.

Atomic structure:
```
15
Lattice="3.3740 1.9480 5.5462 -3.3740 1.9480 5.5462 0.0000 -3.8960 5.5462" Properties=species:S:1:pos:R:3 pbc="T T T"
Na -1.6870 -0.9740 5.5462
Na -1.6870 0.9740 11.0923
Na 0.0000 1.9480 5.5462
Sm -3.3740 0.0000 8.3193
Sm -1.6870 0.9740 2.7731
Sm 1.6870 0.9740 2.7731
Si 0.0000 0.0000 8.3193
O 0.0000 0.0000 3.9824
O -1.3773 -0.7952 9.3587
O 0.0000 -1.5904 7.2798
O -1.3773 0.7952 7.2798
O 1.3773 -0.7952 9.3587
O 0.0000 1.5904 9.3587
O 1.3773 0.7952 7.2798
O 0.0000 0.0000 12.6561
```

The 10 most intense peaks (2θ = 10–90°), by angle:
- 15.98 deg, I = 100
- 18.55 deg, I = 18
- 31.07 deg, I = 47
- 32.28 deg, I = 17
- 32.48 deg, I = 46
- 37.62 deg, I = 71
- 49.43 deg, I = 17
- 54.13 deg, I = 21
- 54.38 deg, I = 22
- 57.06 deg, I = 19

***

[5]
This entry pairs a crystal structure of Na8Si6SnO18 with its simulated XRD peak list. Radiation: CuKα. Structure: a structure optimized by DFT (PBE).
Neutral-atom scattering factors, no anomalous dispersion.

Atomic structure:
```
33
Lattice="5.1574 2.9776 4.4668 -5.1574 2.9776 4.4668 0.0000 -5.9553 4.4668" Properties=species:S:1:pos:R:3 pbc="T T T"
Na -5.1574 0.0000 6.7002
Na -2.5787 1.4888 2.2334
Na -2.5787 -1.4888 4.4668
Na 0.0000 0.0000 3.2826
Na 2.5787 1.4888 2.2334
Na -2.5787 1.4888 8.9336
Na 0.0000 2.9776 4.4668
Na 0.0000 0.0000 10.1178
Si -2.3522 -1.3580 7.6251
Si 0.0000 -2.7161 5.7754
Si -2.3522 1.3580 5.7754
Si 2.3522 -1.3580 7.6251
Si 0.0000 2.7161 7.6251
Si 2.3522 1.3580 5.7754
Sn 0.0000 0.0000 0.0000
O -3.7711 -2.1772 7.6003
O 0.0000 -4.3545 5.8001
O -3.7711 2.1772 5.8001
O 0.0000 -2.0104 4.3499
O -1.7411 1.0052 4.3499
O -1.3287 -2.3014 6.7002
O -2.6575 0.0000 6.7002
O -1.7411 -1.0052 9.0505
O 1.3287 -2.3014 6.7002
O -1.3287 2.3014 6.7002
O 1.7411 1.0052 4.3499
O 2.6574 0.0000 6.7002
O 1.3287 2.3014 6.7002
O 1.7411 -1.0052 9.0505
O 0.0000 2.0104 9.0505
O 3.7711 -2.1772 7.6003
O 0.0000 4.3545 7.6003
O 3.7711 2.1772 5.8001
```

The 10 most intense peaks (2θ = 10–90°), by angle:
- 11.91 deg, I = 71
- 16.54 deg, I = 51
- 20.97 deg, I = 49
- 26.40 deg, I = 57
- 27.24 deg, I = 90
- 33.44 deg, I = 100
- 34.79 deg, I = 91
- 49.02 deg, I = 66
- 61.51 deg, I = 31
- 73.44 deg, I = 26

***

[6]
This entry pairs a crystal structure of Na4SrSi3O9 with its simulated XRD peak list. Radiation: CuKα. Structure: a structure optimized by DFT (PBE).
Neutral-atom scattering factors, no anomalous dispersion.

Atomic structure:
```
17
Lattice="3.9060 -5.4500 0.0000 3.9060 5.4500 0.0000 -3.7746 0.0000 5.4187" Properties=species:S:1:pos:R:3 pbc="T T T"
Na 0.0000 0.0000 0.0000
Na 2.2508 -2.5900 0.0062
Na 2.0187 -0.3993 2.7094
Na 1.7866 -2.5900 5.4125
Sr 2.0187 -5.2538 2.7094
Si 0.3862 2.5351 2.8791
Si 3.9060 0.4708 0.0000
Si 3.6512 2.5351 2.5396
O -0.0824 1.5349 4.1353
O 2.0187 2.2182 2.7094
O -0.0319 -1.3801 2.0977
O 2.4952 -0.3141 0.0696
O 4.1198 1.5349 1.2834
O 1.5422 -0.3141 5.3491
O 0.4851 -3.4966 3.8487
O 3.5523 -3.4966 1.5700
O 4.0693 -1.3801 3.3210
```

The 10 most intense peaks (2θ = 10–90°), by angle:
- 16.32 deg, I = 79
- 28.15 deg, I = 39
- 28.40 deg, I = 31
- 32.41 deg, I = 53
- 32.87 deg, I = 22
- 33.01 deg, I = 100
- 36.69 deg, I = 14
- 37.10 deg, I = 22
- 46.51 deg, I = 18
- 47.31 deg, I = 31

***

[7]
This entry pairs a crystal structure of Na3Sr2Ti3Si4O18 with its simulated XRD peak list. Radiation: CuKα. Structure: a structure optimized by DFT (PBE).
Neutral-atom scattering factors, no anomalous dispersion.

Atomic structure:
```
30
Lattice="9.8284 -3.5819 0.0000 9.8284 3.5819 0.0000 -0.6438 0.0000 5.4076" Properties=species:S:1:pos:R:3 pbc="T T T"
Na 0.0000 0.0000 0.0000
Na 9.5066 1.7292 2.7038
Na 9.5066 -1.7292 2.7038
Sr 5.4426 0.0000 1.4159
Sr 13.5705 0.0000 3.9918
Ti 2.5074 0.0000 3.8233
Ti 9.8284 0.0000 0.0000
Ti 16.5057 0.0000 1.5843
Si 6.5024 1.5485 4.3153
Si 12.5107 1.5485 1.0923
Si 6.5024 -1.5485 4.3153
Si 12.5107 -1.5485 1.0923
O 6.3198 2.2319 0.1494
O 6.0233 2.2222 2.8942
O 0.8335 0.0000 3.6528
O 8.1074 1.4867 4.4813
O 5.8420 0.0000 4.2184
O 10.9057 1.4867 0.9264
O 12.9898 2.2222 2.5135
O 12.6933 2.2319 5.2583
O 8.4978 0.0000 1.3258
O 10.5153 0.0000 4.0818
O 6.3198 -2.2319 0.1494
O 6.0233 -2.2222 2.8942
O 8.1074 -1.4867 4.4813
O 13.1711 0.0000 1.1893
O 10.9057 -1.4867 0.9264
O 18.1796 0.0000 1.7549
O 12.9898 -2.2222 2.5135
O 12.6933 -2.2319 5.2583
```

The 10 most intense peaks (2θ = 10–90°), by angle:
- 23.64 deg, I = 39
- 25.83 deg, I = 30
- 25.99 deg, I = 28
- 27.42 deg, I = 37
- 29.37 deg, I = 28
- 30.73 deg, I = 25
- 31.91 deg, I = 100
- 33.32 deg, I = 29
- 34.16 deg, I = 27
- 41.85 deg, I = 26

***

[8]
This entry pairs a crystal structure of Na2Ti2Si4O13 with its simulated XRD peak list. Radiation: CuKα. Structure: a structure optimized by DFT (PBE).
Neutral-atom scattering factors, no anomalous dispersion.

Atomic structure:
```
42
Lattice="12.4048 -4.3867 0.0000 12.4048 4.3867 0.0000 -0.9254 0.0000 5.2001" Properties=species:S:1:pos:R:3 pbc="T T T"
Na 8.0059 2.6328 3.6612
Na 15.4156 2.6328 4.1389
Na 8.4686 -2.6328 1.0612
Na 15.8783 -2.6328 1.5389
Ti 8.4931 0.8025 1.1179
Ti 8.0304 -0.8025 3.7179
Ti 15.8538 0.8025 1.4821
Ti 15.3911 -0.8025 4.0821
Si 10.6050 3.4919 1.0827
Si 5.0517 0.8044 4.0382
Si 13.7419 3.4919 1.5173
Si 5.5144 -0.8044 1.4382
Si 18.3698 0.8044 3.7619
Si 10.1423 -3.4919 3.6827
Si 18.8325 -0.8044 1.1618
Si 13.2792 -3.4919 4.1173
O 1.4804 0.2353 2.7272
O 7.0304 2.1093 1.4330
O 1.9431 -0.2353 0.1272
O 9.7199 2.2218 0.6512
O 12.1734 3.1303 1.3000
O 5.1311 0.0723 0.0676
O 4.6684 -0.0723 2.6676
O 6.6550 0.7180 4.3233
O 8.9908 0.5915 2.8458
O 14.6270 2.2218 1.9488
O 7.1177 -0.7180 1.7233
O 9.4535 -0.5915 0.2458
O 17.3165 2.1093 1.1671
O 6.5677 -2.1093 4.0330
O 14.4307 0.5915 4.9542
O 16.7665 0.7180 3.4767
O 9.2572 -2.2218 3.2512
O 14.8934 -0.5915 2.3542
O 17.2292 -0.7180 0.8767
O 19.2158 0.0723 2.5324
O 18.7531 -0.0723 5.1325
O 11.7108 -3.1303 3.9000
O 14.1643 -2.2218 4.5488
O 21.9411 0.2353 5.0729
O 16.8538 -2.1093 3.7671
O 22.4038 -0.2353 2.4729
```

The 10 most intense peaks (2θ = 10–90°), by angle:
- 14.51 deg, I = 39
- 14.84 deg, I = 100
- 19.63 deg, I = 46
- 27.51 deg, I = 77
- 28.89 deg, I = 67
- 31.87 deg, I = 22
- 32.62 deg, I = 37
- 34.50 deg, I = 27
- 36.59 deg, I = 41
- 64.05 deg, I = 20

***

[9]
This entry pairs a crystal structure of Na2Ti2Si2O9 with its simulated XRD peak list. Radiation: CuKα. Structure: a structure optimized by DFT (PBE).
Neutral-atom scattering factors, no anomalous dispersion.

Atomic structure:
```
60
Lattice="8.7924 0.0000 0.0000 0.0000 5.2876 0.0000 0.0000 0.0000 14.7333" Properties=species:S:1:pos:R:3 pbc="T T T"
Na 0.5570 0.7428 2.2741
Na 0.5570 4.5449 9.6408
Na 3.8392 1.9010 9.6408
Na 3.8392 3.3866 2.2741
Na 4.9532 1.9010 12.4592
Na 4.9532 3.3866 5.0926
Na 8.2354 0.7428 5.0926
Na 8.2354 4.5449 12.4592
Ti 1.3227 1.9554 12.2465
Ti 1.3227 3.3322 4.8799
Ti 3.0735 0.6884 4.8799
Ti 3.0735 4.5992 12.2465
Ti 5.7189 0.6884 2.4868
Ti 5.7189 4.5992 9.8535
Ti 7.4697 1.9554 9.8535
Ti 7.4697 3.3322 2.4868
Si 1.3894 1.5871 7.7572
Si 1.3894 3.7005 0.3905
Si 3.0068 1.0567 0.3905
Si 3.0068 4.2309 7.7572
Si 5.7856 1.0567 6.9762
Si 5.7856 4.2309 14.3428
Si 7.4030 1.5871 14.3428
Si 7.4030 3.7005 6.9762
O 0.0000 2.6023 11.0500
O 0.0000 2.6854 3.6833
O 0.0547 1.3716 13.6432
O 0.0547 3.9161 6.2765
O 1.4520 1.5809 6.1299
O 1.4520 3.7068 13.4965
O 1.6123 0.3141 11.4620
O 1.6123 4.9735 4.0953
O 2.0663 2.3035 0.9851
O 2.0663 2.9841 8.3518
O 2.3299 0.3403 8.3518
O 2.3299 4.9473 0.9851
O 2.7839 2.3297 4.0953
O 2.7839 2.9580 11.4620
O 2.9442 1.0629 13.4965
O 2.9442 4.2247 6.1299
O 4.3415 1.2723 6.2765
O 4.3415 4.0154 13.6432
O 4.3962 0.0416 3.6833
O 4.3962 5.2461 11.0500
O 4.4509 1.2723 1.0901
O 4.4509 4.0154 8.4568
O 5.8482 1.0629 8.6035
O 5.8482 4.2247 1.2368
O 6.0085 2.3297 3.2713
O 6.0085 2.9580 10.6380
O 6.4625 0.3403 13.7482
O 6.4625 4.9473 6.3816
O 6.7261 2.3035 6.3816
O 6.7261 2.9841 13.7482
O 7.1801 0.3141 10.6380
O 7.1801 4.9735 3.2713
O 7.3404 1.5809 1.2368
O 7.3404 3.7068 8.6035
O 8.7377 1.3716 8.4568
O 8.7377 3.9161 1.0901
```

The 10 most intense peaks (2θ = 10–90°), by angle:
- 15.69 deg, I = 33
- 26.23 deg, I = 59
- 29.06 deg, I = 27
- 32.15 deg, I = 100
- 34.47 deg, I = 17
- 36.06 deg, I = 15
- 36.09 deg, I = 16
- 46.13 deg, I = 17
- 56.59 deg, I = 23
- 66.65 deg, I = 15